Starting from the GGA-PBE geometry in Alexandria, the X-ray diffraction stick pattern of Tb6TmTh2 was calculated for Cu Kα X-rays.
Neutral-atom scattering factors, no anomalous dispersion.

Largest 10 diffraction maxima, sorted by position, 10 to 90 degrees two-theta:
d 2.907, 30.76 deg, rel. 100.0
d 2.526, 35.53 deg, rel. 17.1
d 2.513, 35.73 deg, rel. 33.6
d 1.782, 51.28 deg, rel. 24.3
d 1.777, 51.43 deg, rel. 12.0
d 1.522, 60.86 deg, rel. 14.6
d 1.516, 61.13 deg, rel. 28.5
d 1.453, 64.07 deg, rel. 12.4
d 1.156, 83.66 deg, rel. 12.0
d 1.153, 83.89 deg, rel. 5.9

Crystal structure
Cell lengths 10.661, 7.955, 7.946 Å; angles 84.20, 47.94, 47.86 degrees
Positions (direct):
Tb (0.165, 0.165, 0.835)
Tb (0.171, 0.504, 0.496)
Tb (0.496, 0.829, 0.171)
Tb (0.504, 0.171, 0.829)
Tb (0.829, 0.496, 0.504)
Tb (0.835, 0.835, 0.165)
Tm (0.500, 0.500, 0.500)
Th (0.168, 0.832, 0.168)
Th (0.832, 0.168, 0.832)


Starting from the GGA-PBE geometry in Alexandria, the X-ray diffraction stick pattern of Tb3Tm5Th3 was calculated for Cu Kα X-rays.
Neutral-atom scattering factors, no anomalous dispersion.

Largest 10 diffraction maxima, sorted by position, 10 to 90 degrees two-theta:
d 2.941, 30.40 deg, rel. 19.0
d 2.834, 31.58 deg, rel. 50.3
d 2.800, 31.97 deg, rel. 100.0
d 2.714, 33.01 deg, rel. 46.9
d 2.705, 33.12 deg, rel. 50.7
d 2.652, 33.80 deg, rel. 32.6
d 2.056, 44.04 deg, rel. 11.8
d 1.930, 47.09 deg, rel. 12.7
d 1.574, 58.63 deg, rel. 10.6
d 1.560, 59.24 deg, rel. 12.7

Crystal structure
Cell lengths 6.154, 7.721, 8.229 Å; angles 90.74, 107.56, 106.96 degrees
Positions (direct):
Tb (0.000, 0.000, 0.000)
Tb (0.304, 0.379, 0.806)
Tb (0.625, 0.175, 0.182)
Tm (0.252, 0.347, 0.363)
Tm (0.284, 0.812, 0.378)
Tm (0.364, 0.820, 0.816)
Tm (0.614, 0.177, 0.695)
Tm (0.982, 0.533, 0.001)
Th (0.623, 0.680, 0.180)
Th (0.860, 0.543, 0.546)
Th (0.929, 0.978, 0.548)


Starting from the GGA-PBE geometry in Alexandria, the X-ray diffraction stick pattern of TbTm2Th3 was calculated for Cu Kα X-rays.
Neutral-atom scattering factors, no anomalous dispersion.

Largest 10 diffraction maxima, sorted by position, 10 to 90 degrees two-theta:
d 3.248, 27.46 deg, rel. 38.2
d 2.922, 30.59 deg, rel. 38.1
d 2.876, 31.10 deg, rel. 100.0
d 2.813, 31.81 deg, rel. 43.4
d 2.516, 35.69 deg, rel. 38.6
d 2.355, 38.22 deg, rel. 18.4
d 2.331, 38.63 deg, rel. 45.9
d 1.636, 56.23 deg, rel. 42.7
d 1.461, 63.69 deg, rel. 26.6
d 1.453, 64.11 deg, rel. 23.0

Crystal structure
Cell lengths 7.586, 7.586, 6.692 Å; angles 90.06, 90.06, 95.74 degrees
Positions (direct):
Tb (0.230, 0.770, 0.750)
Tb (0.770, 0.230, 0.250)
Tm (0.104, 0.563, 0.250)
Tm (0.437, 0.896, 0.250)
Tm (0.563, 0.104, 0.750)
Tm (0.896, 0.437, 0.750)
Th (0.167, 0.167, 0.000)
Th (0.167, 0.167, 0.500)
Th (0.500, 0.500, 0.000)
Th (0.500, 0.500, 0.500)
Th (0.833, 0.833, 0.000)
Th (0.833, 0.833, 0.500)


Starting from the GGA-PBE geometry in Alexandria, the X-ray diffraction stick pattern of Tb8Tm2Th was calculated for Cu Kα X-rays.
Neutral-atom scattering factors, no anomalous dispersion.

Largest 10 diffraction maxima, sorted by position, 10 to 90 degrees two-theta:
d 2.819, 31.74 deg, rel. 100.0
d 2.804, 31.91 deg, rel. 87.1
d 2.692, 33.28 deg, rel. 44.2
d 2.683, 33.40 deg, rel. 44.4
d 2.089, 43.31 deg, rel. 16.2
d 1.900, 47.87 deg, rel. 32.3
d 1.648, 55.77 deg, rel. 15.4
d 1.574, 58.66 deg, rel. 19.0
d 1.454, 64.02 deg, rel. 27.0
d 1.409, 66.32 deg, rel. 11.7

Crystal structure
Cell lengths 8.357, 8.357, 5.366 Å; angles 90.08, 90.08, 104.91 degrees
Positions (direct):
Tb (0.165, 0.165, 0.000)
Tb (0.203, 0.468, 0.499)
Tb (0.247, 0.753, 0.000)
Tb (0.468, 0.203, 0.499)
Tb (0.532, 0.797, 0.501)
Tb (0.753, 0.247, 0.000)
Tb (0.797, 0.532, 0.501)
Tb (0.835, 0.835, 0.000)
Tm (0.120, 0.880, 0.500)
Tm (0.880, 0.120, 0.500)
Th (0.500, 0.500, 0.000)


Starting from the GGA-PBE geometry in Alexandria, the X-ray diffraction stick pattern of Tb7Tm2Th3 was calculated for Cu Kα X-rays.
Neutral-atom scattering factors, no anomalous dispersion.

Largest 10 diffraction maxima, sorted by position, 10 to 90 degrees two-theta:
d 4.082, 21.77 deg, rel. 14.8
d 3.410, 26.13 deg, rel. 20.2
d 2.895, 30.89 deg, rel. 23.4
d 2.848, 31.41 deg, rel. 100.0
d 2.748, 32.58 deg, rel. 52.8
d 2.739, 32.70 deg, rel. 24.4
d 2.652, 33.80 deg, rel. 13.4
d 2.616, 34.28 deg, rel. 50.0
d 1.940, 46.82 deg, rel. 22.0
d 1.605, 57.41 deg, rel. 18.4

Crystal structure
Cell lengths 6.101, 5.496, 12.115 Å; angles 90.00, 91.40, 90.00 degrees
Positions (direct):
Tb (0.000, 0.000, 0.000)
Tb (0.081, 0.500, 0.173)
Tb (0.241, 0.500, 0.455)
Tb (0.441, 0.000, 0.183)
Tb (0.559, 0.000, 0.817)
Tb (0.759, 0.500, 0.545)
Tb (0.919, 0.500, 0.827)
Tm (0.389, 0.500, 0.723)
Tm (0.611, 0.500, 0.277)
Th (0.066, 0.000, 0.644)
Th (0.500, 0.500, 0.000)
Th (0.934, 0.000, 0.356)


Starting from the GGA-PBE geometry in Alexandria, the X-ray diffraction stick pattern of Tb2Tm6Th3 was calculated for Cu Kα X-rays.
Neutral-atom scattering factors, no anomalous dispersion.

Largest 10 diffraction maxima, sorted by position, 10 to 90 degrees two-theta:
d 2.884, 31.01 deg, rel. 50.3
d 2.873, 31.13 deg, rel. 100.0
d 2.799, 31.98 deg, rel. 48.4
d 2.488, 36.11 deg, rel. 67.3
d 2.448, 36.72 deg, rel. 32.6
d 1.765, 51.81 deg, rel. 24.4
d 1.725, 53.08 deg, rel. 22.7
d 1.511, 61.34 deg, rel. 14.7
d 1.503, 61.71 deg, rel. 14.4
d 1.499, 61.92 deg, rel. 14.3

Crystal structure
Cell lengths 6.136, 6.136, 11.416 Å; angles 95.58, 95.58, 120.35 degrees
Positions (direct):
Tb (0.163, 0.837, 0.000)
Tb (0.837, 0.163, 0.000)
Tm (0.090, 0.421, 0.748)
Tm (0.246, 0.246, 0.256)
Tm (0.421, 0.090, 0.748)
Tm (0.579, 0.910, 0.252)
Tm (0.754, 0.754, 0.744)
Tm (0.910, 0.579, 0.252)
Th (0.000, 0.000, 0.500)
Th (0.333, 0.667, 0.500)
Th (0.667, 0.333, 0.500)


Starting from the GGA-PBE geometry in Alexandria, the X-ray diffraction stick pattern of Tb5Tm3Th was calculated for Cu Kα X-rays.
Neutral-atom scattering factors, no anomalous dispersion.

Largest 10 diffraction maxima, sorted by position, 10 to 90 degrees two-theta:
d 3.056, 29.22 deg, rel. 46.1
d 3.025, 29.53 deg, rel. 100.0
d 2.746, 32.61 deg, rel. 35.0
d 2.582, 34.74 deg, rel. 21.8
d 2.413, 37.26 deg, rel. 27.1
d 2.380, 37.80 deg, rel. 13.7
d 1.952, 46.52 deg, rel. 9.3
d 1.813, 50.34 deg, rel. 20.1
d 1.634, 56.30 deg, rel. 19.1
d 1.486, 62.49 deg, rel. 11.1

Crystal structure
Cell lengths 11.105, 11.105, 11.105 Å; angles 139.06, 139.06, 59.28 degrees
Positions (direct):
Tb (0.000, 0.000, 0.000)
Tb (0.074, 0.574, 0.910)
Tb (0.164, 0.074, 0.500)
Tb (0.336, 0.836, 0.910)
Tb (0.426, 0.336, 0.500)
Tb (0.500, 0.500, 0.000)
Tb (0.574, 0.664, 0.500)
Tb (0.664, 0.164, 0.090)
Tb (0.836, 0.926, 0.500)
Tb (0.926, 0.426, 0.090)
Tm (0.131, 0.369, 0.500)
Tm (0.250, 0.250, 0.000)
Tm (0.369, 0.869, 0.239)
Tm (0.631, 0.131, 0.761)
Tm (0.750, 0.750, 0.000)
Tm (0.869, 0.631, 0.500)
Th (0.250, 0.750, 0.500)
Th (0.750, 0.250, 0.500)


Starting from the GGA-PBE geometry in Alexandria, the X-ray diffraction stick pattern of Tb3TmTh4 was calculated for Cu Kα X-rays.
Neutral-atom scattering factors, no anomalous dispersion.

Largest 10 diffraction maxima, sorted by position, 10 to 90 degrees two-theta:
d 3.316, 26.88 deg, rel. 22.9
d 2.938, 30.43 deg, rel. 38.7
d 2.862, 31.25 deg, rel. 36.7
d 2.854, 31.34 deg, rel. 100.0
d 2.834, 31.57 deg, rel. 50.9
d 2.441, 36.82 deg, rel. 35.4
d 2.369, 37.98 deg, rel. 21.2
d 1.640, 56.06 deg, rel. 27.6
d 1.469, 63.32 deg, rel. 27.8
d 1.428, 65.36 deg, rel. 21.2

Crystal structure
Cell lengths 3.426, 11.336, 13.216 Å; angles 90.00, 90.00, 90.00 degrees
Positions (direct):
Tb (0.000, 0.000, 0.000)
Tb (0.000, 0.500, 0.234)
Tb (0.000, 0.500, 0.766)
Tb (0.500, 0.000, 0.266)
Tb (0.500, 0.000, 0.734)
Tb (0.500, 0.500, 0.500)
Tm (0.000, 0.000, 0.500)
Tm (0.500, 0.500, 0.000)
Th (0.000, 0.253, 0.371)
Th (0.000, 0.253, 0.629)
Th (0.000, 0.747, 0.371)
Th (0.000, 0.747, 0.629)
Th (0.500, 0.247, 0.129)
Th (0.500, 0.247, 0.871)
Th (0.500, 0.753, 0.129)
Th (0.500, 0.753, 0.871)


Starting from the GGA-PBE geometry in Alexandria, the X-ray diffraction stick pattern of Tb3Tm2Th2 was calculated for Cu Kα X-rays.
Neutral-atom scattering factors, no anomalous dispersion.

Largest 10 diffraction maxima, sorted by position, 10 to 90 degrees two-theta:
d 2.901, 30.82 deg, rel. 100.0
d 2.888, 30.96 deg, rel. 33.0
d 2.516, 35.69 deg, rel. 46.1
d 2.498, 35.95 deg, rel. 22.0
d 1.777, 51.42 deg, rel. 16.1
d 1.769, 51.67 deg, rel. 15.9
d 1.518, 61.04 deg, rel. 14.9
d 1.516, 61.13 deg, rel. 14.5
d 1.513, 61.27 deg, rel. 9.7
d 1.509, 61.47 deg, rel. 9.3

Crystal structure
Cell lengths 3.562, 7.895, 8.710 Å; angles 111.35, 90.08, 103.02 degrees
Positions (direct):
Tb (0.000, 0.000, 0.000)
Tb (0.138, 0.277, 0.432)
Tb (0.862, 0.723, 0.568)
Tm (0.284, 0.568, 0.861)
Tm (0.716, 0.432, 0.139)
Th (0.428, 0.856, 0.286)
Th (0.572, 0.144, 0.714)


Starting from the GGA-PBE geometry in Alexandria, the X-ray diffraction stick pattern of Tb2Tm6Th was calculated for Cu Kα X-rays.
Neutral-atom scattering factors, no anomalous dispersion.

Largest 10 diffraction maxima, sorted by position, 10 to 90 degrees two-theta:
d 3.072, 29.07 deg, rel. 46.5
d 2.875, 31.11 deg, rel. 44.5
d 2.775, 32.26 deg, rel. 63.6
d 2.642, 33.94 deg, rel. 100.0
d 2.099, 43.09 deg, rel. 29.3
d 1.774, 51.53 deg, rel. 35.9
d 1.584, 58.26 deg, rel. 30.7
d 1.509, 61.42 deg, rel. 39.0
d 1.473, 63.14 deg, rel. 16.9
d 1.133, 85.76 deg, rel. 14.9

Crystal structure
Cell lengths 3.547, 3.547, 25.873 Å; angles 90.00, 90.00, 120.00 degrees
Positions (direct):
Tb (0.000, 0.000, 0.172)
Tb (0.000, 0.000, 0.828)
Tm (0.000, 0.000, 0.389)
Tm (0.000, 0.000, 0.611)
Tm (0.667, 0.333, 0.064)
Tm (0.667, 0.333, 0.282)
Tm (0.667, 0.333, 0.718)
Tm (0.667, 0.333, 0.936)
Th (0.667, 0.333, 0.500)


Starting from the GGA-PBE geometry in Alexandria, the X-ray diffraction stick pattern of Tb3Tm8Th3 was calculated for Cu Kα X-rays.
Neutral-atom scattering factors, no anomalous dispersion.

Largest 10 diffraction maxima, sorted by position, 10 to 90 degrees two-theta:
d 3.039, 29.39 deg, rel. 19.9
d 2.969, 30.10 deg, rel. 30.6
d 2.883, 31.02 deg, rel. 24.9
d 2.787, 32.11 deg, rel. 50.0
d 2.775, 32.26 deg, rel. 100.0
d 2.623, 34.18 deg, rel. 45.2
d 2.004, 45.25 deg, rel. 17.8
d 1.607, 57.34 deg, rel. 19.8
d 1.496, 62.05 deg, rel. 14.6
d 1.469, 63.32 deg, rel. 15.3

Crystal structure
Cell lengths 9.553, 9.553, 9.553 Å; angles 146.07, 112.36, 77.86 degrees
Positions (direct):
Tb (0.000, 0.000, 0.000)
Tb (0.305, 0.000, 0.305)
Tb (0.695, 0.000, 0.695)
Tm (0.055, 0.397, 0.659)
Tm (0.065, 0.224, 0.842)
Tm (0.262, 0.603, 0.659)
Tm (0.382, 0.224, 0.158)
Tm (0.618, 0.776, 0.842)
Tm (0.738, 0.397, 0.341)
Tm (0.935, 0.776, 0.158)
Tm (0.945, 0.603, 0.341)
Th (0.314, 0.814, 0.500)
Th (0.500, 0.500, 0.000)
Th (0.686, 0.186, 0.500)


Starting from the GGA-PBE geometry in Alexandria, the X-ray diffraction stick pattern of TbTm7Th3 was calculated for Cu Kα X-rays.
Neutral-atom scattering factors, no anomalous dispersion.

Largest 10 diffraction maxima, sorted by position, 10 to 90 degrees two-theta:
d 4.713, 18.83 deg, rel. 9.7
d 2.827, 31.65 deg, rel. 28.5
d 2.777, 32.24 deg, rel. 100.0
d 2.731, 32.79 deg, rel. 35.2
d 2.722, 32.90 deg, rel. 40.7
d 1.946, 46.67 deg, rel. 20.5
d 1.717, 53.36 deg, rel. 8.0
d 1.585, 58.19 deg, rel. 17.1
d 1.582, 58.33 deg, rel. 10.1
d 1.453, 64.07 deg, rel. 14.3

Crystal structure
Cell lengths 6.867, 5.462, 10.018 Å; angles 90.00, 109.92, 90.00 degrees
Positions (direct):
Tb (0.000, 0.000, 0.000)
Tm (0.087, 0.000, 0.670)
Tm (0.176, 0.500, 0.861)
Tm (0.361, 0.500, 0.207)
Tm (0.500, 0.000, 0.500)
Tm (0.639, 0.500, 0.793)
Tm (0.824, 0.500, 0.139)
Tm (0.913, 0.000, 0.330)
Th (0.222, 0.500, 0.500)
Th (0.500, 0.000, 0.000)
Th (0.778, 0.500, 0.500)


Starting from the GGA-PBE geometry in Alexandria, the X-ray diffraction stick pattern of Tb3Tm3Th2 was calculated for Cu Kα X-rays.
Neutral-atom scattering factors, no anomalous dispersion.

Largest 10 diffraction maxima, sorted by position, 10 to 90 degrees two-theta:
d 2.896, 30.88 deg, rel. 100.0
d 2.887, 30.98 deg, rel. 99.0
d 2.513, 35.72 deg, rel. 67.9
d 2.485, 36.14 deg, rel. 33.0
d 1.767, 51.73 deg, rel. 47.9
d 1.516, 61.13 deg, rel. 29.1
d 1.512, 61.30 deg, rel. 28.7
d 1.502, 61.77 deg, rel. 28.2
d 1.448, 64.34 deg, rel. 12.5
d 1.122, 86.83 deg, rel. 16.9

Crystal structure
Cell lengths 7.126, 14.185, 6.115 Å; angles 90.00, 125.62, 90.00 degrees
Positions (direct):
Tb (0.000, 0.000, 0.000)
Tb (0.000, 0.372, 0.500)
Tb (0.000, 0.628, 0.500)
Tb (0.500, 0.128, 0.500)
Tb (0.500, 0.500, 0.000)
Tb (0.500, 0.872, 0.500)
Tm (0.000, 0.126, 0.500)
Tm (0.000, 0.500, 0.000)
Tm (0.000, 0.874, 0.500)
Tm (0.500, 0.000, 0.000)
Tm (0.500, 0.374, 0.500)
Tm (0.500, 0.626, 0.500)
Th (0.000, 0.251, 0.000)
Th (0.000, 0.749, 0.000)
Th (0.500, 0.249, 0.000)
Th (0.500, 0.751, 0.000)